Structure and simulated X-ray powder pattern of LiMn6O12 (a structure optimized by DFT (GGA+U); Cu Kα, 1.54184 Å).

```
data_LiMn6O12
_cell_length_a 6.613
_cell_length_b 6.616
_cell_length_c 15.396
_cell_angle_alpha 82.72
_cell_angle_beta 82.88
_cell_angle_gamma 82.66
_space_group_name_H-M_alt 'P 1'
_space_group_IT_number 1
_space_group_name_Hall 'P 1'
loop_
_atom_site_label
_atom_site_type_symbol
_atom_site_fract_x
_atom_site_fract_y
_atom_site_fract_z
Li1 Li 0.000 0.000 0.000
Li2 Li 0.000 0.002 0.337
Li3 Li 0.344 0.664 0.661
Mn1 Mn 0.083 0.414 0.582
Mn2 Mn 0.090 0.421 0.918
Mn3 Mn 0.093 0.425 0.249
Mn4 Mn 0.242 0.238 0.752
Mn5 Mn 0.258 0.256 0.084
Mn6 Mn 0.261 0.255 0.416
Mn7 Mn 0.422 0.088 0.919
Mn8 Mn 0.427 0.091 0.584
Mn9 Mn 0.432 0.091 0.247
Mn10 Mn 0.574 0.904 0.417
Mn11 Mn 0.579 0.911 0.084
Mn12 Mn 0.587 0.918 0.753
Mn13 Mn 0.745 0.742 0.919
Mn14 Mn 0.750 0.749 0.248
Mn15 Mn 0.764 0.762 0.583
Mn16 Mn 0.909 0.574 0.753
Mn17 Mn 0.913 0.576 0.085
Mn18 Mn 0.915 0.580 0.415
O1 O 0.011 0.687 0.965
O2 O 0.016 0.688 0.293
O3 O 0.026 0.674 0.635
O4 O 0.146 0.145 0.890
O5 O 0.159 0.153 0.535
O6 O 0.160 0.157 0.206
O7 O 0.178 0.510 0.797
O8 O 0.182 0.517 0.460
O9 O 0.183 0.520 0.127
O10 O 0.314 0.994 0.365
O11 O 0.315 0.990 0.040
O12 O 0.326 0.977 0.703
O13 O 0.350 0.363 0.620
O14 O 0.356 0.355 0.964
O15 O 0.359 0.356 0.293
O16 O 0.483 0.821 0.875
O17 O 0.485 0.821 0.204
O18 O 0.486 0.817 0.553
O19 O 0.509 0.181 0.800
O20 O 0.519 0.177 0.461
O21 O 0.523 0.182 0.125
O22 O 0.641 0.650 0.717
O23 O 0.647 0.645 0.041
O24 O 0.652 0.645 0.366
O25 O 0.687 0.025 0.634
O26 O 0.690 0.008 0.965
O27 O 0.699 0.017 0.283
O28 O 0.821 0.478 0.877
O29 O 0.822 0.492 0.535
O30 O 0.825 0.482 0.205
O31 O 0.849 0.841 0.800
O32 O 0.850 0.846 0.123
O33 O 0.859 0.851 0.446
O34 O 0.979 0.315 0.703
O35 O 0.992 0.313 0.039
O36 O 0.996 0.313 0.367
```

Main lines, low angle first (15 to 90 degrees two-theta):
hkl 1 1 0, 18.11 deg, rel. 100
hkl 0 0 6, 35.48 deg, rel. 11
hkl 2 -1 3, 36.00 deg, rel. 20
hkl 1 1 -6, 42.89 deg, rel. 16
hkl 3 0 3, 43.46 deg, rel. 31
hkl 1 4 -3, 62.36 deg, rel. 11